Diffraction record for Ba2MnW. The X-ray powder pattern is calculated, not measured: it uses a cell relaxed with PBE and Cu Ka.
Kinematic intensities with the Lorentz-polarization factor, no thermal factor.

Cell and atoms:
```
data_Ba2MnW
_space_group_name_H-M_alt 'P 4 m m'
_space_group_IT_number 99
_cell_length_a 3.470
_cell_length_b 3.470
_cell_length_c 9.966
_cell_angle_alpha 90.00
_cell_angle_beta 90.00
_cell_angle_gamma 90.00
loop_
_space_group_symop_operation_xyz
'x,y,z'
'-y,x,z'
'-x,-y,z'
'y,-x,z'
'-x,y,z'
'y,x,z'
'x,-y,z'
'-y,-x,z'
loop_
_atom_site_label
_atom_site_fract_x
_atom_site_fract_y
_atom_site_fract_z
Ba1 0.000 0.000 0.000
Ba2 0.500 0.500 0.407
Mn1 0.000 0.000 0.665
W1 0.500 0.500 0.732
```

Most intense lines, 2θ from 10° to 80°, low angle first:
2θ (°)	d (Å)	I_rel
26.84	3.322	736
27.22	3.277	1000
31.42	2.847	843
36.63	2.453	996
37.48	2.400	764
45.99	1.974	677
52.77	1.735	345
60.18	1.538	303
61.94	1.498	394
66.51	1.406	284